Structure and calculated powder diffraction line list of Li2VF5 (the PBE+U geometry in Alexandria; Cu Kα (λ = 1.5418 Å)).

Top 10 peaks for 2θ = 15–90°, low angle first:
two_theta, d [Å], intensity, index
17.44, 5.084, 100, 1 1 0
24.21, 3.676, 34, 2 0 0
25.30, 3.520, 25, 0 2 0
25.49, 3.494, 20, 1 0 -2
25.70, 3.466, 19, 1 0 2
25.86, 3.445, 52, 0 1 2
38.92, 2.314, 18, 3 1 0
40.34, 2.236, 14, 1 3 0
44.93, 2.018, 17, 0 3 2
49.61, 1.838, 21, 4 0 0

Structure:
```
data_Li2VF5
_chemical_formula_sum 'Li8 V4 F20'
_cell_length_a 7.351
_cell_length_b 7.040
_cell_length_c 7.901
_cell_angle_alpha 90.00
_cell_angle_beta 90.55
_cell_angle_gamma 90.00
_symmetry_space_group_name_H-M 'P 1 c 1'
_symmetry_Int_Tables_number 7
loop_
_symmetry_equiv_pos_as_xyz
'x,y,z'
'x,-y,z+1/2'
loop_
_atom_site_label
_atom_site_fract_x
_atom_site_fract_y
_atom_site_fract_z
Li1 0.000 0.006 0.000
Li2 0.278 0.260 0.213
Li3 0.487 0.484 0.529
Li4 0.736 0.200 0.728
V1 0.482 0.009 0.429
V2 0.991 0.483 0.634
F1 0.027 0.240 0.119
F2 0.224 0.053 0.392
F3 0.258 0.473 0.649
F4 0.439 0.247 0.003
F5 0.495 0.277 0.368
F6 0.502 0.086 0.680
F7 0.721 0.457 0.638
F8 0.745 0.032 0.926
F9 0.976 0.203 0.657
F10 0.989 0.471 0.384
```